Structure and computed X-ray diffraction stick pattern of Er2CuPd (DFT lattice parameters and positions (GGA-PBE); CuKα).
Peak positions follow from Bragg's law for the DFT cell and can differ from measured ones.

Structural model:
Lattice parameters (Å, degrees): 6.911 6.911 6.911 90.00 90.00 90.00
Space group Fm-3m (No. 225)
Unique sites:
Er1 0.250 0.250 0.250 x8
Cu1 0.000 0.000 0.000 x4
Pd1 0.000 0.000 0.500 x4

Peak list (10 most intense, 2θ = 10–90°, in order of rising 2θ)
- 22.28°, rel. 1.5
- 25.78°, rel. 11.1
- 36.78°, rel. 100.0
- 45.46°, rel. 3.4
- 53.00°, rel. 17.4
- 59.85°, rel. 4.8
- 66.25°, rel. 35.2
- 78.25°, rel. 10.9
- 84.03°, rel. 2.5
- 89.74°, rel. 16.0